Record 1
The following is a simulated PXRD pattern of ErTcH. It was derived from a DFT-relaxed cell (GGA-PBE, Alexandria), using Cu Ka.
Neutral-atom scattering factors, no anomalous dispersion.

Structural model:
a = 11.136 Å, b = 9.173 Å, c = 6.655 Å
α = 87.92°, β = 55.41°, γ = 36.67°
Sites, in units of the cell vectors:
Er (0.007, 0.743, 0.007)
Er (0.257, 0.993, 0.257)
Er (0.743, 0.007, 0.743)
Er (0.993, 0.257, 0.993)
Tc (0.003, 0.003, 0.747)
Tc (0.253, 0.253, 0.997)
Tc (0.747, 0.747, 0.003)
Tc (0.997, 0.997, 0.253)
H (0.310, 0.310, 0.440)
H (0.440, 0.440, 0.310)
H (0.560, 0.560, 0.690)
H (0.690, 0.690, 0.560)

The 6 most intense peaks (2θ from 15° to 90°), sorted by position:
two_theta  d [Å]  I/Imax
31.23  2.864  59
34.01  2.636  100
39.68  2.271  41
39.84  2.263  35
44.64  2.030  26
47.08  1.930  22

=====

Record 2
The following is a simulated PXRD pattern of Er4Tl3H2. It was derived from a DFT-relaxed cell (GGA-PBE, Alexandria), using Cu Ka.
Neutral-atom scattering factors, no anomalous dispersion.

Structural model:
a = 8.344 Å, b = 8.344 Å, c = 6.369 Å
α = 99.93°, β = 99.93°, γ = 67.22°
Sites, in units of the cell vectors:
Er (0.105, 0.655, 0.985)
Er (0.224, 0.381, 0.416)
Er (0.345, 0.895, 0.515)
Er (0.381, 0.224, 0.916)
Er (0.619, 0.776, 0.084)
Er (0.655, 0.105, 0.485)
Er (0.776, 0.619, 0.584)
Er (0.895, 0.345, 0.015)
Tl (0.016, 0.791, 0.469)
Tl (0.209, 0.984, 0.031)
Tl (0.486, 0.514, 0.750)
Tl (0.514, 0.486, 0.250)
Tl (0.791, 0.016, 0.969)
Tl (0.984, 0.209, 0.531)
H (0.144, 0.398, 0.073)
H (0.398, 0.144, 0.573)
H (0.602, 0.856, 0.427)
H (0.856, 0.602, 0.927)

The 6 most intense peaks (2θ from 15° to 90°), sorted by position:
two_theta  d [Å]  I/Imax
29.74  3.004  62
32.27  2.774  58
32.75  2.734  79
33.72  2.658  82
34.38  2.609  100
34.78  2.579  78

=====

Record 3
The following is a simulated PXRD pattern of Er4Tl3H. It was derived from a DFT-relaxed cell (GGA-PBE, Alexandria), using Cu Ka.
Neutral-atom scattering factors, no anomalous dispersion.

Structural model:
a = 4.279 Å, b = 10.615 Å, c = 9.058 Å
α = 90.00°, β = 90.00°, γ = 90.00°
Sites, in units of the cell vectors:
Er (0.250, 0.071, 0.195)
Er (0.250, 0.250, 0.832)
Er (0.250, 0.429, 0.195)
Er (0.250, 0.750, 0.554)
Er (0.750, 0.250, 0.446)
Er (0.750, 0.571, 0.805)
Er (0.750, 0.750, 0.168)
Er (0.750, 0.929, 0.805)
Tl (0.250, 0.057, 0.596)
Tl (0.250, 0.443, 0.596)
Tl (0.250, 0.750, 0.939)
Tl (0.750, 0.250, 0.061)
Tl (0.750, 0.557, 0.404)
Tl (0.750, 0.943, 0.404)
H (0.250, 0.250, 0.332)
H (0.750, 0.750, 0.668)

The 6 most intense peaks (2θ from 15° to 90°), sorted by position:
two_theta  d [Å]  I/Imax
29.93  2.985  59
32.10  2.788  58
32.84  2.727  100
33.39  2.684  90
36.42  2.467  77
39.22  2.297  56

=====

Record 4
The following is a simulated PXRD pattern of ErTlH. It was derived from a DFT-relaxed cell (GGA-PBE, Alexandria), using Cu Ka.
Neutral-atom scattering factors, no anomalous dispersion.

Structural model:
a = 3.592 Å, b = 3.592 Å, c = 5.288 Å
α = 90.00°, β = 90.00°, γ = 120.00°
Sites, in units of the cell vectors:
Er (0.000, 0.000, 0.000)
Tl (0.667, 0.333, 0.500)
H (0.333, 0.667, 0.000)

The 6 most intense peaks (2θ from 15° to 90°), sorted by position:
two_theta  d [Å]  I/Imax
28.70  3.111  25
33.42  2.681  100
33.90  2.644  22
50.84  1.796  21
60.35  1.534  19
62.52  1.486  22

=====

Record 5
The following is a simulated PXRD pattern of Er2Tm4Tl3H2. It was derived from a DFT-relaxed cell (GGA-PBE, Alexandria), using Cu Ka.
Neutral-atom scattering factors, no anomalous dispersion.

Structural model:
a = 12.538 Å, b = 12.538 Å, c = 12.538 Å
α = 158.49°, β = 158.49°, γ = 30.61°
Sites, in units of the cell vectors:
Er (0.197, 0.197, 0.000)
Er (0.803, 0.803, 0.000)
Tm (0.084, 0.584, 0.500)
Tm (0.416, 0.916, 0.500)
Tm (0.584, 0.084, 0.500)
Tm (0.916, 0.416, 0.500)
Tl (0.326, 0.326, 0.000)
Tl (0.500, 0.500, 0.000)
Tl (0.674, 0.674, 0.000)
H (0.101, 0.101, 0.000)
H (0.899, 0.899, 0.000)

The 6 most intense peaks (2θ from 15° to 90°), sorted by position:
two_theta  d [Å]  I/Imax
27.96  3.192  36
30.80  2.903  18
35.09  2.558  100
38.47  2.340  52
55.54  1.654  18
67.41  1.389  34

=====

Record 6
The following is a simulated PXRD pattern of ErTm3H8. It was derived from a DFT-relaxed cell (GGA-PBE, Alexandria), using Cu Ka.
Neutral-atom scattering factors, no anomalous dispersion.

Structural model:
a = 5.074 Å, b = 5.074 Å, c = 5.074 Å
α = 90.00°, β = 90.00°, γ = 90.00°
Sites, in units of the cell vectors:
Er (0.000, 0.000, 0.000)
Tm (0.000, 0.500, 0.500)
Tm (0.500, 0.000, 0.500)
Tm (0.500, 0.500, 0.000)
H (0.251, 0.251, 0.251)
H (0.251, 0.251, 0.749)
H (0.251, 0.749, 0.251)
H (0.251, 0.749, 0.749)
H (0.749, 0.251, 0.251)
H (0.749, 0.251, 0.749)
H (0.749, 0.749, 0.251)
H (0.749, 0.749, 0.749)

The 6 most intense peaks (2θ from 15° to 90°), sorted by position:
two_theta  d [Å]  I/Imax
30.51  2.930  100
35.38  2.537  49
50.90  1.794  37
60.52  1.530  43
82.94  1.164  18
85.60  1.135  17

=====

Record 7
The following is a simulated PXRD pattern of ErTmH4. It was derived from a DFT-relaxed cell (GGA-PBE, Alexandria), using Cu Ka.
Neutral-atom scattering factors, no anomalous dispersion.

Structural model:
a = 6.253 Å, b = 6.253 Å, c = 6.253 Å
α = 132.18°, β = 132.18°, γ = 69.95°
Sites, in units of the cell vectors:
Er (0.375, 0.625, 0.750)
Er (0.625, 0.375, 0.250)
Tm (0.125, 0.875, 0.250)
Tm (0.875, 0.125, 0.750)
H (0.000, 0.248, 0.248)
H (0.000, 0.752, 0.752)
H (0.248, 0.000, 0.748)
H (0.248, 0.500, 0.248)
H (0.500, 0.248, 0.748)
H (0.500, 0.752, 0.252)
H (0.752, 0.000, 0.252)
H (0.752, 0.500, 0.752)

The 6 most intense peaks (2θ from 15° to 90°), sorted by position:
two_theta  d [Å]  I/Imax
30.43  2.937  100
35.02  2.562  17
35.41  2.535  32
50.66  1.802  25
60.00  1.542  15
60.51  1.530  29

=====

Record 8
The following is a simulated PXRD pattern of ErZrH4. It was derived from a DFT-relaxed cell (GGA-PBE, Alexandria), using Cu Ka.
Neutral-atom scattering factors, no anomalous dispersion.

Structural model:
a = 3.463 Å, b = 3.463 Å, c = 5.025 Å
α = 90.00°, β = 90.00°, γ = 90.00°
Sites, in units of the cell vectors:
Er (0.000, 0.000, 0.000)
Zr (0.500, 0.500, 0.500)
H (0.000, 0.500, 0.266)
H (0.000, 0.500, 0.734)
H (0.500, 0.000, 0.266)
H (0.500, 0.000, 0.734)

The 6 most intense peaks (2θ from 15° to 90°), sorted by position:
two_theta  d [Å]  I/Imax
31.37  2.851  100
35.73  2.513  17
36.70  2.449  31
52.16  1.754  24
61.49  1.508  14
62.79  1.480  27

=====

Record 9
The following is a simulated PXRD pattern of Er2Hf. It was derived from a DFT-relaxed cell (GGA-PBE, Alexandria), using Cu Ka.
Neutral-atom scattering factors, no anomalous dispersion.

Structural model:
a = 3.350 Å, b = 3.350 Å, c = 14.610 Å
α = 90.00°, β = 90.00°, γ = 90.00°
Sites, in units of the cell vectors:
Er (0.000, 0.000, 0.155)
Er (0.000, 0.000, 0.845)
Er (0.500, 0.500, 0.345)
Er (0.500, 0.500, 0.655)
Hf (0.000, 0.000, 0.500)
Hf (0.500, 0.500, 0.000)

The 6 most intense peaks (2θ from 15° to 90°), sorted by position:
two_theta  d [Å]  I/Imax
32.44  2.760  100
36.91  2.435  16
37.99  2.369  34
54.01  1.698  22
54.81  1.675  12
65.15  1.432  27

=====

Record 10
The following is a simulated PXRD pattern of Ho3Er2Tm6Hf. It was derived from a DFT-relaxed cell (GGA-PBE, Alexandria), using Cu Ka.
Neutral-atom scattering factors, no anomalous dispersion.

Structural model:
a = 6.000 Å, b = 6.000 Å, c = 11.469 Å
α = 94.99°, β = 94.99°, γ = 119.91°
Sites, in units of the cell vectors:
Ho (0.000, 0.000, 0.000)
Ho (0.333, 0.667, 0.000)
Ho (0.667, 0.333, 0.000)
Er (0.167, 0.833, 0.500)
Er (0.833, 0.167, 0.500)
Tm (0.093, 0.419, 0.256)
Tm (0.255, 0.255, 0.744)
Tm (0.419, 0.093, 0.256)
Tm (0.581, 0.907, 0.744)
Tm (0.745, 0.745, 0.256)
Tm (0.907, 0.581, 0.744)
Hf (0.500, 0.500, 0.500)

The 6 most intense peaks (2θ from 15° to 90°), sorted by position:
two_theta  d [Å]  I/Imax
31.64  2.828  100
36.70  2.449  50
52.83  1.733  18
52.91  1.730  18
62.86  1.478  11
62.97  1.476  31